Starting from a PBE-relaxed structure, the powder XRD pattern of La3Zn3Ge2SbO14 was computed for λ = 1.5418 Å (Cu Kα).
Lines closer than 0.1° are merged.

Crystal structure
abc: 8.4233 8.4233 5.2894
angles: 90.00 90.00 120.00
Space group P321 (No. 150)
Symmetry-distinct sites (fractional):
1 La 0.0000 0.4194 0.0000 [3 per cell]
2 Zn 0.0000 0.7611 0.5000 [3 per cell]
3 Ge 0.3333 0.6667 0.5516 [2 per cell]
4 Sb 0.0000 0.0000 0.0000 [1 per cell]
5 O 0.0827 0.2242 0.2194 [6 per cell]
6 O 0.1480 0.6744 0.7023 [6 per cell]
7 O 0.3333 0.6667 0.2182 [2 per cell]

Top 10 peaks for 2θ from 10° to 90°, sorted by position:
index	2θ/deg	I_rel
1 1 1	27.06	76
0 2 1	29.75	100
2 1 0	32.47	24
0 0 2	33.90	18
1 2 1	36.76	19
3 0 0	36.97	15
1 2 2	47.65	30
3 1 1	48.15	22
3 2 1	57.78	23
0 2 3	58.11	15



Starting from a PBE-relaxed structure, the powder XRD pattern of Rb6ReAs4 was computed for λ = 1.5418 Å (Cu Kα).
Lines closer than 0.1° are merged.

Crystal structure
abc: 10.8108 10.8108 8.4554
angles: 90.00 90.00 120.00
Space group P6_3mc (No. 186)
Symmetry-distinct sites (fractional):
1 Rb 0.0633 0.5316 0.0000 [6 per cell]
2 Rb 0.1399 0.2797 0.6828 [6 per cell]
3 Re 0.3333 0.6667 0.3942 [2 per cell]
4 As 0.2128 0.4255 0.3024 [6 per cell]
5 As 0.3333 0.6667 0.6771 [2 per cell]

Top 10 peaks for 2θ from 10° to 90°, sorted by position:
index	2θ/deg	I_rel
1 0 1	14.11	69
1 0 2	23.08	27
2 1 1	27.32	100
2 0 2	28.45	59
3 0 1	30.53	49
2 2 0	33.17	94
3 2 2	47.48	20
5 0 1	49.88	21
3 3 0	50.67	21
3 2 3	53.65	29



Starting from a PBE-relaxed structure, the powder XRD pattern of Er2TmPt9 was computed for λ = 1.5418 Å (Cu Kα).
Lines closer than 0.1° are merged.

Crystal structure
abc: 4.0969 4.0969 12.2909
angles: 90.00 90.00 90.00
Space group P4/mmm (No. 123)
Symmetry-distinct sites (fractional):
1 Er 0.0000 0.0000 0.1668 [2 per cell]
2 Tm 0.0000 0.0000 0.5000 [1 per cell]
3 Pt 0.0000 0.5000 0.0000 [2 per cell]
4 Pt 0.0000 0.5000 0.3339 [4 per cell]
5 Pt 0.5000 0.5000 0.1670 [2 per cell]
6 Pt 0.5000 0.5000 0.5000 [1 per cell]

Top 5 peaks for 2θ from 10° to 90°, sorted by position:
index	2θ/deg	I_rel
1 1 3	38.04	100
2 0 0	44.21	49
2 2 0	64.31	33
3 1 3	77.23	39
2 2 6	81.36	11



Starting from a PBE-relaxed structure, the powder XRD pattern of Pm6Mg2In was computed for λ = 1.5418 Å (Cu Kα).
Lines closer than 0.1° are merged.

Crystal structure
abc: 7.1864 7.1864 22.1286
angles: 90.00 90.00 120.00
Space group R3m (No. 160, hexagonal axes)
Symmetry-distinct sites (fractional):
1 Pm 0.0051 0.5025 0.0000 [9 per cell]
2 Pm 0.1672 0.3344 0.5405 [9 per cell]
3 Mg 0.0000 0.0000 0.2096 [3 per cell]
4 Mg 0.0000 0.0000 0.9956 [3 per cell]
5 In 0.0000 0.0000 0.7694 [3 per cell]

Top 10 peaks for 2θ from 10° to 90°, sorted by position:
index	2θ/deg	I_rel
0 0 3	12.00	25
1 0 1	14.79	58
0 0 6	24.13	28
0 2 1	28.98	82
0 2 4	33.03	92
2 0 5	35.26	100
0 0 9	36.55	29
0 2 10	50.62	26
2 2 0	50.82	40
2 2 9	64.21	33